[1]
CsZn4As3: calculated powder X-ray diffraction pattern (Cu Kα), based on a crystal structure in the Materials Project, relaxed with GGA-PBE.

Structural model:
```
CsZn4As3
1.0
4.260 0.000 0.000
0.000 4.260 0.000
0.000 0.000 10.688
Cs Zn As
1 4 3
Cartesian
0.000 0.000 0.000 Cs
0.000 2.130 3.722 Zn
0.000 2.130 6.966 Zn
2.130 0.000 3.722 Zn
2.130 0.000 6.966 Zn
0.000 0.000 5.344 As
2.130 2.130 2.350 As
2.130 2.130 8.338 As
```

Peak list (10 most intense, 2θ = 10–80°, most intense first)
| 2θ (°) | I (rel.) |
| --- | --- |
| 26.76 | 1000 |
| 45.37 | 559 |
| 42.44 | 485 |
| 30.84 | 342 |
| 50.88 | 332 |
| 39.16 | 275 |
| 79.72 | 205 |
| 61.57 | 156 |
| 24.99 | 143 |
| 34.17 | 106 |

---

[2]
CuAs2: calculated powder X-ray diffraction pattern (Cu Kα), based on a crystal structure in the Materials Project, relaxed with GGA-PBE.

Structural model:
```
CuAs2
1.0
4.806 0.000 0.000
0.000 5.961 0.000
0.000 0.000 3.821
Cu As
2 4
Cartesian
0.000 0.000 0.000 Cu
2.403 2.980 1.910 Cu
0.990 2.233 0.000 As
1.413 5.213 1.910 As
3.393 0.747 1.910 As
3.816 3.728 0.000 As
```

Peak list (10 most intense, 2θ = 10–80°, most intense first)
| 2θ (°) | I (rel.) |
| --- | --- |
| 33.52 | 1000 |
| 47.21 | 883 |
| 35.44 | 855 |
| 29.88 | 763 |
| 47.60 | 412 |
| 51.87 | 405 |
| 60.72 | 349 |
| 55.53 | 226 |
| 42.84 | 213 |
| 79.78 | 183 |

---

[3]
Cu5As2: calculated powder X-ray diffraction pattern (Cu Kα), based on a crystal structure in the Materials Project, relaxed with GGA-PBE.

Structural model:
```
Cu5As2
1.0
-3.001 5.782 2.783
3.001 -5.782 2.783
3.001 5.782 -2.783
Cu As
10 4
Cartesian
3.001 3.108 -1.391 Cu
4.145 1.197 0.000 Cu
0.000 0.000 1.391 Cu
1.144 4.584 0.000 Cu
0.000 2.673 1.391 Cu
3.001 3.108 1.391 Cu
1.857 1.197 2.783 Cu
0.000 0.000 4.174 Cu
-1.144 4.584 2.783 Cu
0.000 2.673 4.174 Cu
1.662 1.349 0.000 As
1.662 -1.349 2.783 As
1.339 7.130 0.000 As
1.339 4.433 2.783 As
```

Peak list (10 most intense, 2θ = 10–80°, most intense first)
| 2θ (°) | I (rel.) |
| --- | --- |
| 44.39 | 1000 |
| 45.23 | 976 |
| 43.46 | 918 |
| 36.42 | 361 |
| 41.86 | 276 |
| 46.04 | 250 |
| 70.89 | 244 |
| 67.29 | 162 |
| 79.84 | 160 |
| 35.81 | 127 |

---

[4]
CuAs2: calculated powder X-ray diffraction pattern (Cu Kα), based on a crystal structure in the Materials Project, relaxed with GGA-PBE.

Structural model:
```
CuAs2
1.0
-3.087 3.087 2.647
3.087 -3.087 2.647
3.087 3.087 -2.647
Cu As
2 4
Cartesian
0.000 0.000 1.324 Cu
0.000 0.000 3.971 Cu
4.000 0.913 0.000 As
0.913 2.174 0.000 As
2.174 0.913 2.647 As
-0.913 2.174 2.647 As
```

Peak list (10 most intense, 2θ = 10–80°, most intense first)
| 2θ (°) | I (rel.) |
| --- | --- |
| 36.71 | 1000 |
| 39.83 | 437 |
| 46.51 | 433 |
| 45.12 | 248 |
| 62.46 | 207 |
| 70.64 | 193 |
| 74.39 | 177 |
| 41.36 | 84 |
| 33.86 | 80 |
| 67.89 | 60 |

---

[5]
Cu4As: calculated powder X-ray diffraction pattern (Cu Kα), based on a crystal structure in the Materials Project, relaxed with GGA-PBE.

Structural model:
```
Cu4As
1.0
6.396 0.000 0.000
0.000 6.396 0.000
0.000 0.000 6.396
Cu As
16 4
Cartesian
0.280 0.768 5.097 Cu
0.768 5.097 0.280 Cu
1.215 1.215 1.215 Cu
1.300 3.478 2.430 Cu
1.898 2.918 5.628 Cu
1.983 5.181 4.413 Cu
2.430 1.300 3.478 Cu
2.918 5.628 1.898 Cu
3.478 2.430 1.300 Cu
3.966 4.498 6.116 Cu
4.413 1.983 5.181 Cu
4.498 6.116 3.966 Cu
5.097 0.280 0.768 Cu
5.181 4.413 1.983 Cu
5.628 1.898 2.918 Cu
6.116 3.966 4.498 Cu
0.385 6.012 2.814 As
2.814 0.385 6.012 As
3.583 3.583 3.583 As
6.012 2.814 0.385 As
```

Peak list (10 most intense, 2θ = 10–80°, most intense first)
| 2θ (°) | I (rel.) |
| --- | --- |
| 42.39 | 1000 |
| 44.81 | 560 |
| 47.12 | 261 |
| 75.84 | 254 |
| 53.61 | 89 |
| 61.51 | 60 |
| 65.23 | 54 |
| 77.55 | 40 |
| 31.27 | 39 |
| 24.10 | 24 |

---

[6]
CuAs2: calculated powder X-ray diffraction pattern (Cu Kα), based on a crystal structure in the Materials Project, relaxed with GGA-PBE.

Structural model:
```
CuAs2
1.0
-2.133 2.133 3.033
2.133 -2.133 3.033
2.133 2.133 -3.033
Cu As
1 2
Cartesian
0.000 0.000 0.000 Cu
2.133 0.000 1.517 As
0.000 2.133 1.517 As
```

Peak list (10 most intense, 2θ = 10–80°, most intense first)
| 2θ (°) | I (rel.) |
| --- | --- |
| 42.25 | 1000 |
| 42.37 | 496 |
| 25.52 | 375 |
| 77.41 | 317 |
| 29.61 | 194 |
| 77.17 | 160 |
| 61.47 | 158 |
| 50.12 | 112 |
| 29.45 | 98 |
| 61.11 | 81 |

---

[7]
DyZnCuAs2: calculated powder X-ray diffraction pattern (Cu Kα), based on a crystal structure in the Materials Project, relaxed with GGA-PBE.

Structural model:
```
DyZnCuAs2
1.0
4.125 0.000 0.000
-2.062 3.572 0.000
0.000 0.000 6.731
Dy Zn Cu As
1 1 1 2
Cartesian
0.000 0.000 0.000 Dy
0.000 2.382 4.085 Zn
2.062 1.191 2.316 Cu
0.000 2.382 1.576 As
2.062 1.191 4.931 As
```

Peak list (10 most intense, 2θ = 10–80°, most intense first)
| 2θ (°) | I (rel.) |
| --- | --- |
| 28.28 | 1000 |
| 36.69 | 809 |
| 43.90 | 692 |
| 47.88 | 291 |
| 58.50 | 205 |
| 75.93 | 188 |
| 53.04 | 173 |
| 61.02 | 173 |
| 71.23 | 142 |
| 66.96 | 104 |

---

[8]
ErCuAs2: calculated powder X-ray diffraction pattern (Cu Kα), based on a crystal structure in the Materials Project, relaxed with GGA-PBE.

Structural model:
```
ErCuAs2
1.0
3.886 0.000 0.000
0.000 3.886 0.000
0.000 0.000 9.828
Er Cu As
2 2 4
Cartesian
0.971 0.971 2.333 Er
2.914 2.914 7.495 Er
0.971 2.914 4.914 Cu
2.914 0.971 4.914 Cu
0.971 0.971 6.521 As
0.971 2.914 0.000 As
2.914 0.971 0.000 As
2.914 2.914 3.307 As
```

Peak list (10 most intense, 2θ = 10–80°, most intense first)
| 2θ (°) | I (rel.) |
| --- | --- |
| 37.50 | 1000 |
| 46.76 | 336 |
| 35.85 | 258 |
| 24.64 | 237 |
| 52.15 | 161 |
| 36.57 | 151 |
| 29.30 | 146 |
| 60.78 | 135 |
| 72.62 | 120 |
| 60.29 | 115 |

---

[9]
EuCuAs: calculated powder X-ray diffraction pattern (Cu Kα), based on a crystal structure in the Materials Project, relaxed with GGA-PBE.

Structural model:
```
EuCuAs
1.0
4.218 0.000 0.000
-2.109 3.653 0.000
0.000 0.000 8.278
Eu Cu As
2 2 2
Cartesian
0.000 0.000 0.000 Eu
0.000 0.000 4.139 Eu
0.000 2.435 2.069 Cu
2.109 1.218 6.208 Cu
0.000 2.435 6.208 As
2.109 1.218 2.069 As
```

Peak list (10 most intense, 2θ = 10–80°, most intense first)
| 2θ (°) | I (rel.) |
| --- | --- |
| 32.70 | 1000 |
| 42.88 | 412 |
| 62.92 | 257 |
| 54.95 | 224 |
| 72.12 | 198 |
| 43.74 | 130 |
| 24.37 | 125 |
| 73.36 | 94 |
| 78.56 | 67 |
| 50.70 | 36 |

---

[10]
EuCu4As2: calculated powder X-ray diffraction pattern (Cu Kα), based on a crystal structure in the Materials Project, relaxed with GGA-PBE.

Structural model:
```
EuCu4As2
1.0
2.085 1.203 7.669
-2.085 1.203 7.669
0.000 -2.407 7.669
Eu Cu As
1 4 2
Cartesian
0.000 0.000 0.000 Eu
0.000 0.000 3.352 Cu
0.000 0.000 10.099 Cu
0.000 0.000 12.906 Cu
0.000 0.000 19.654 Cu
0.000 0.000 5.805 As
0.000 0.000 17.201 As
```

Peak list (10 most intense, 2θ = 10–80°, most intense first)
| 2θ (°) | I (rel.) |
| --- | --- |
| 43.41 | 1000 |
| 36.99 | 860 |
| 29.20 | 320 |
| 58.32 | 217 |
| 40.09 | 211 |
| 31.50 | 206 |
| 75.42 | 195 |
| 79.67 | 157 |
| 24.96 | 143 |
| 66.23 | 139 |

---

[11]
CuAsF7: calculated powder X-ray diffraction pattern (Cu Kα), based on a crystal structure in the Materials Project, relaxed with GGA-PBE.

Structural model:
```
CuAsF7
1.0
-3.490 5.492 3.490
3.490 -5.492 3.490
3.490 5.492 -3.490
Cu As F
2 2 14
Cartesian
-1.745 2.746 1.745 Cu
1.745 2.746 1.745 Cu
0.000 0.000 0.000 As
0.000 5.492 0.000 As
1.272 1.253 0.231 F
5.709 1.253 0.231 F
3.490 5.164 -1.782 F
3.490 -0.327 1.782 F
3.490 2.746 1.069 F
1.272 4.238 0.231 F
2.219 -1.253 3.721 F
1.272 6.745 -0.231 F
2.219 1.253 3.259 F
0.000 2.746 2.420 F
0.000 5.819 1.707 F
0.000 0.327 5.272 F
-2.219 4.238 3.259 F
2.219 4.238 3.259 F
```

Peak list (10 most intense, 2θ = 10–80°, most intense first)
| 2θ (°) | I (rel.) |
| --- | --- |
| 15.04 | 1000 |
| 30.34 | 918 |
| 17.97 | 844 |
| 24.25 | 729 |
| 61.79 | 273 |
| 49.67 | 269 |
| 27.51 | 258 |
| 29.75 | 223 |
| 53.24 | 200 |
| 52.43 | 194 |